This entry pairs a crystal structure of BaDyPb2O6 with its theoretical powder diffractogram. Radiation: Cu Kα, 1.54184 Å. Structure: a structure optimized by DFT (PBE).
Lines closer than 0.1° are merged.

Principal peaks in the range 2θ from 10° to 90°, by angle:
2theta  d_spacing  intensity  h k l
29.36  3.042  100  1 0 2
29.64  3.014  49  1 1 0
41.59  2.171  13  0 0 4
42.41  2.131  27  2 0 0
51.90  1.762  23  1 1 4
52.42  1.746  41  2 1 2
60.91  1.521  16  2 0 4
83.93  1.153  11  2 1 6
84.62  1.145  12  3 1 4
85.03  1.141  11  3 2 2

Structural model:
a b c (Å): 4.263 4.263 8.686
angles (deg): 90.00 90.00 90.00
Element x y z (fractional)
Ba 0.000 0.000 0.000
Dy 0.000 0.000 0.500
Pb 0.500 0.500 0.257
Pb 0.500 0.500 0.743
O 0.000 0.500 0.296
O 0.000 0.500 0.704
O 0.500 0.000 0.296
O 0.500 0.000 0.704
O 0.500 0.500 0.000
O 0.500 0.500 0.500